1.
Structure and simulated powder diffractogram of Ac8MgOs2 (a DFT-relaxed cell (PBE, Alexandria); CuKα).

Structure:
Cell lengths 8.6457, 8.6457, 6.1593 Å; angles 96.75, 96.75, 114.20 degrees
Fractional positions:
Ac1 0.0000 0.0000 0.0000
Ac2 0.0616 0.3254 0.6449
Ac3 0.1420 0.6486 0.2137
Ac4 0.3254 0.0616 0.6449
Ac5 0.4660 0.7295 0.7822
Ac6 0.6486 0.1420 0.2137
Ac7 0.7295 0.4660 0.7822
Ac8 0.7935 0.7935 0.4298
Mg1 0.3972 0.3972 0.2143
Os1 0.0944 0.6973 0.7142
Os2 0.6973 0.0944 0.7142

Most intense lines, 2θ from 15° to 90°, in order of falling intensity:
2θ = 31.44°, intensity 100; 2θ = 28.73°, intensity 100; 2θ = 34.74°, intensity 74; 2θ = 26.88°, intensity 74; 2θ = 30.43°, intensity 73; 2θ = 32.22°, intensity 64

=====

2.
Structure and simulated powder diffractogram of NaSc5Te8 (a DFT-relaxed cell (PBE, Alexandria); CuKα).

Structure:
Cell lengths 8.6952, 8.6952, 8.6952 Å; angles 60.00, 60.00, 60.00 degrees
Fractional positions:
Na1 0.0000 0.0000 0.0000
Sc1 0.3696 0.3696 0.3696
Sc2 0.3696 0.3696 0.8911
Sc3 0.3696 0.8911 0.3696
Sc4 0.7500 0.7500 0.7500
Sc5 0.8911 0.3696 0.3696
Te1 0.1359 0.1359 0.1359
Te2 0.1359 0.1359 0.5922
Te3 0.1359 0.5922 0.1359
Te4 0.1486 0.6171 0.6171
Te5 0.5922 0.1359 0.1359
Te6 0.6171 0.1486 0.6171
Te7 0.6171 0.6171 0.1486
Te8 0.6171 0.6171 0.6171

Most intense lines, 2θ from 15° to 90°, in order of falling intensity:
2θ = 25.09°, intensity 100; 2θ = 29.05°, intensity 96; 2θ = 41.54°, intensity 87; 2θ = 49.15°, intensity 43; 2θ = 68.21°, intensity 25; 2θ = 75.80°, intensity 23

=====

3.
Structure and simulated powder diffractogram of K5Hg6 (a DFT-relaxed cell (PBE, Alexandria); CuKα).

Structure:
Cell lengths 17.4920, 17.4920, 4.7244 Å; angles 90.00, 90.00, 162.93 degrees
Fractional positions:
K1 0.0000 0.0000 0.0000
K2 0.1958 0.8042 0.5000
K3 0.3810 0.6190 0.0000
K4 0.6190 0.3810 0.0000
K5 0.8042 0.1958 0.5000
Hg1 0.0910 0.9090 0.5000
Hg2 0.2742 0.7258 0.0000
Hg3 0.4567 0.5433 0.5000
Hg4 0.5433 0.4567 0.5000
Hg5 0.7258 0.2742 0.0000
Hg6 0.9090 0.0910 0.5000

Most intense lines, 2θ from 15° to 90°, in order of falling intensity:
2θ = 19.48°, intensity 100; 2θ = 33.31°, intensity 79; 2θ = 26.66°, intensity 73; 2θ = 34.70°, intensity 68; 2θ = 21.41°, intensity 56; 2θ = 15.37°, intensity 49